Theoretical powder diffractogram
Compound: Rb2Hg8Au
Radiation: Cu Kα, 1.54184 Å
Structure: a PBE-relaxed structure
Neutral-atom scattering factors, no anomalous dispersion.

Largest 10 diffraction maxima, in order of rising 2θ, 15 to 90 degrees two-theta:
d_spacing, I/Imax, (hkl)
4.091, 20.7, 1 0 2
3.213, 39.6, 1 1 2
2.826, 100.0, 1 1 3
2.659, 19.8, 0 0 5
2.595, 72.2, 2 0 0
2.463, 25.3, 1 1 4
1.857, 27.9, 2 0 5
1.835, 26.2, 2 2 0
1.539, 32.8, 3 1 3
1.510, 14.4, 2 2 5

Crystal structure
a = 5.1896 Å, b = 5.1896 Å, c = 13.2949 Å
α = 90.00°, β = 90.00°, γ = 90.00°
Space group P4/mmm (No. 123)
Symmetry-distinct sites (fractional):
Rb 0.0000 0.0000 0.1977 [2 per cell]
Hg 0.0000 0.5000 0.0000 [2 per cell]
Hg 0.0000 0.5000 0.3826 [4 per cell]
Hg 0.5000 0.5000 0.2156 [2 per cell]
Au 0.0000 0.0000 0.5000 [1 per cell]



Theoretical powder diffractogram
Compound: RbHgAu10
Radiation: Cu Kα, 1.54184 Å
Structure: a PBE-relaxed structure
Neutral-atom scattering factors, no anomalous dispersion.

Largest 10 diffraction maxima, in order of rising 2θ, 15 to 90 degrees two-theta:
d_spacing, I/Imax, (hkl)
4.951, 34.5, 0 0 2
2.858, 15.9, 0 2 0
2.476, 30.0, 0 0 4
2.434, 100.0, 1 2 0
2.322, 35.7, 2 0 0
2.184, 57.9, 1 2 2
1.693, 19.2, 2 0 4
1.554, 16.6, 1 3 3
1.361, 16.5, 3 2 0
1.218, 16.6, 2 2 6

Crystal structure
a = 4.6433 Å, b = 5.7087 Å, c = 9.9139 Å
α = 90.00°, β = 90.00°, γ = 90.00°
Space group Pmmm (No. 47)
Symmetry-distinct sites (fractional):
Rb 0.0000 0.0000 0.0000 [1 per cell]
Hg 0.0000 0.5000 0.5000 [1 per cell]
Au 0.0000 0.0000 0.3425 [2 per cell]
Au 0.0000 0.5000 0.1884 [2 per cell]
Au 0.5000 0.0000 0.5000 [1 per cell]
Au 0.5000 0.2472 0.2498 [4 per cell]
Au 0.5000 0.5000 0.0000 [1 per cell]



Theoretical powder diffractogram
Compound: Rb3HgAu8
Radiation: Cu Kα, 1.54184 Å
Structure: a PBE-relaxed structure
Neutral-atom scattering factors, no anomalous dispersion.

Largest 10 diffraction maxima, in order of rising 2θ, 15 to 90 degrees two-theta:
d_spacing, I/Imax, (hkl)
4.767, 43.7, 0 1 2
2.519, 50.3, 1 0 10
2.497, 100.0, 1 1 6
2.486, 48.7, 2 0 2
2.423, 31.2, 0 0 12
2.384, 86.8, 0 2 4
2.073, 29.5, 2 0 8
1.589, 25.4, 3 0 6
1.475, 32.3, 0 2 16
1.457, 31.5, 2 2 0

Crystal structure
a = 5.8266 Å, b = 5.8266 Å, c = 29.0782 Å
α = 90.00°, β = 90.00°, γ = 120.00°
Space group R3m (No. 160, hexagonal axes)
Symmetry-distinct sites (fractional):
Rb 0.0000 0.0000 0.0000 [3 per cell]
Rb 0.0000 0.0000 0.1267 [3 per cell]
Rb 0.0000 0.0000 0.5038 [3 per cell]
Hg 0.0000 0.0000 0.6282 [3 per cell]
Au 0.0000 0.0000 0.3141 [3 per cell]
Au 0.0000 0.0000 0.8143 [3 per cell]
Au 0.9999 0.5000 0.5654 [9 per cell]
Au 0.1678 0.3355 0.3962 [9 per cell]



Theoretical powder diffractogram
Compound: RbHg5Au
Radiation: Cu Kα, 1.54184 Å
Structure: a PBE-relaxed structure
Neutral-atom scattering factors, no anomalous dispersion.

Largest 10 diffraction maxima, in order of rising 2θ, 15 to 90 degrees two-theta:
d_spacing, I/Imax, (hkl)
3.248, 23.1, 0 1 3
3.047, 63.6, 1 0 3
2.982, 100.0, 0 2 2
2.885, 21.6, 1 2 1
2.766, 63.2, 2 0 0
2.314, 30.9, 1 2 3
2.028, 72.0, 2 2 2
1.777, 21.3, 0 4 0
1.767, 27.0, 1 2 5
1.495, 21.7, 2 4 0

Crystal structure
a = 5.5321 Å, b = 7.1111 Å, c = 10.9520 Å
α = 90.00°, β = 90.00°, γ = 90.00°
Space group Immm (No. 71)
Symmetry-distinct sites (fractional):
Rb 0.0000 0.0000 0.0000 [2 per cell]
Hg 0.0000 0.2807 0.3084 [8 per cell]
Hg 0.0000 0.5000 0.0000 [2 per cell]
Au 0.0000 0.0000 0.5000 [2 per cell]



Theoretical powder diffractogram
Compound: Rb3Hg4Au2
Radiation: Cu Kα, 1.54184 Å
Structure: a PBE-relaxed structure
Neutral-atom scattering factors, no anomalous dispersion.

Largest 10 diffraction maxima, in order of rising 2θ, 15 to 90 degrees two-theta:
d_spacing, I/Imax, (hkl)
5.771, 26.1, 2 0 0
4.274, 43.1, 2 0 1
3.254, 28.6, 3 1 -1
3.130, 85.6, 1 1 2
3.115, 33.8, 3 1 0
2.654, 62.4, 0 2 0
2.622, 100.0, 3 1 -3
2.514, 31.6, 4 0 1
1.825, 24.6, 4 2 1
1.677, 26.5, 7 1 -2

Crystal structure
a = 12.3758 Å, b = 5.3081 Å, c = 10.0491 Å
α = 90.00°, β = 111.15°, γ = 90.00°
Space group C2/m (No. 12)
Symmetry-distinct sites (fractional):
Rb 0.0000 0.0000 0.0000 [2 per cell]
Rb 0.1336 0.5000 0.6778 [4 per cell]
Hg 0.1087 0.0000 0.4180 [4 per cell]
Hg 0.2237 0.5000 0.0697 [4 per cell]
Au 0.1559 0.5000 0.3172 [4 per cell]



Theoretical powder diffractogram
Compound: Rb8HgAu3
Radiation: Cu Kα, 1.54184 Å
Structure: a PBE-relaxed structure
Neutral-atom scattering factors, no anomalous dispersion.

Largest 10 diffraction maxima, in order of rising 2θ, 15 to 90 degrees two-theta:
d_spacing, I/Imax, (hkl)
4.286, 36.7, 1 1 2
3.846, 51.9, 2 0 2
3.405, 100.0, 2 0 3
2.984, 31.9, 2 0 4
2.619, 40.1, 2 0 5
2.514, 67.8, 2 2 0
2.402, 20.2, 2 2 2
2.023, 23.4, 4 0 3
1.588, 29.3, 2 2 8
1.576, 21.0, 4 2 3

Crystal structure
a = 10.0577 Å, b = 10.0577 Å, c = 16.3866 Å
α = 90.00°, β = 90.00°, γ = 120.00°
Space group P6_3mc (No. 186)
Symmetry-distinct sites (fractional):
Rb 0.0000 0.0000 0.0000 [2 per cell]
Rb 0.0096 0.5048 0.4936 [6 per cell]
Rb 0.1604 0.3208 0.2574 [6 per cell]
Rb 0.3333 0.6667 0.7673 [2 per cell]
Hg 0.3333 0.6667 0.1201 [2 per cell]
Au 0.1644 0.3289 0.8825 [6 per cell]



Theoretical powder diffractogram
Compound: RbHg10Au2
Radiation: Cu Kα, 1.54184 Å
Structure: a PBE-relaxed structure
Neutral-atom scattering factors, no anomalous dispersion.

Largest 10 diffraction maxima, in order of rising 2θ, 15 to 90 degrees two-theta:
d_spacing, I/Imax, (hkl)
3.119, 20.5, 1 3 3
2.946, 45.4, 1 1 5
2.791, 54.6, 0 4 4
2.729, 23.8, 0 2 6
2.545, 100.0, 2 2 2
2.400, 34.0, 2 0 4
2.357, 19.7, 1 5 3
2.315, 20.4, 0 6 2
2.238, 33.7, 2 4 0
1.559, 19.1, 2 6 6

Crystal structure
a = 5.7150 Å, b = 14.3923 Å, c = 17.6967 Å
α = 90.00°, β = 90.00°, γ = 90.00°
Space group Fmmm (No. 69)
Symmetry-distinct sites (fractional):
Rb 0.0000 0.0000 0.0000 [4 per cell]
Hg 0.0000 0.1096 0.3830 [16 per cell]
Hg 0.0000 0.1732 0.1848 [16 per cell]
Hg 0.2500 0.2500 0.0000 [8 per cell]
Au 0.2500 0.0000 0.2500 [8 per cell]



Theoretical powder diffractogram
Compound: RbHg4Au2
Radiation: Cu Kα, 1.54184 Å
Structure: a PBE-relaxed structure
Neutral-atom scattering factors, no anomalous dispersion.

Largest 10 diffraction maxima, in order of rising 2θ, 15 to 90 degrees two-theta:
d_spacing, I/Imax, (hkl)
2.926, 100.0, 2 1 2
2.865, 63.7, 5 1 1
2.610, 21.9, 7 0 1
2.542, 73.9, 0 2 0
2.477, 17.2, 6 0 2
2.275, 18.7, 1 1 3
2.228, 78.3, 6 1 2
2.191, 21.8, 8 1 0
1.399, 18.8, 6 3 2
1.271, 21.0, 0 4 0

Crystal structure
a = 19.4202 Å, b = 5.0842 Å, c = 7.6978 Å
α = 90.00°, β = 90.00°, γ = 90.00°
Space group Pnma (No. 62)
Symmetry-distinct sites (fractional):
Rb 0.1428 0.2500 0.0198 [4 per cell]
Hg 0.0356 0.7500 0.8477 [4 per cell]
Hg 0.0657 0.2500 0.4759 [4 per cell]
Hg 0.1815 0.7500 0.3227 [4 per cell]
Hg 0.1858 0.7500 0.7246 [4 per cell]
Au 0.0343 0.7500 0.2432 [4 per cell]
Au 0.2161 0.2500 0.5290 [4 per cell]